(1)
Simulated powder diffractogram
Compound: Y7Ho2Tm2
Radiation: λ = 1.5418 Å (Cu Kα)
Structure: a crystal structure in Alexandria, relaxed with PBE
Peak positions follow from Bragg's law for the DFT cell and can differ from measured ones.

Principal peaks in the range 10° ≤ 2θ ≤ 90°, by intensity:
2θ (°), I (rel.)
32.21, 100
32.54, 34
29.91, 31
57.84, 18
32.65, 15
34.01, 13
62.13, 12
19.47, 12
63.35, 12
56.27, 11
64.18, 10
52.74, 10

a = 9.3092 Å, b = 9.3092 Å, c = 9.3092 Å
α = 145.61°, β = 63.67°, γ = 128.20°
Element x y z (fractional)
Y (0.0000, 0.0000, 0.0000)
Y (0.1370, 0.2979, 0.8391)
Y (0.1458, 0.5070, 0.6388)
Y (0.4557, 0.0922, 0.3636)
Y (0.4589, 0.2979, 0.1609)
Y (0.7286, 0.0922, 0.6364)
Y (0.8682, 0.5070, 0.3612)
Ho (0.0000, 0.7991, 0.2008)
Ho (0.5983, 0.7991, 0.7992)
Tm (0.2981, 0.7981, 0.5000)
Tm (0.5868, 0.5868, 0.0000)

---

(2)
Simulated powder diffractogram
Compound: Y4Ho3Tm4
Radiation: λ = 1.5418 Å (Cu Kα)
Structure: a crystal structure in Alexandria, relaxed with PBE
Peak positions follow from Bragg's law for the DFT cell and can differ from measured ones.

Principal peaks in the range 10° ≤ 2θ ≤ 90°, by intensity:
2θ (°), I (rel.)
32.18, 100
31.93, 54
62.90, 29
31.17, 25
57.37, 19
45.40, 18
81.47, 14
30.67, 13
67.32, 11
57.69, 11
57.21, 11
46.53, 10

a = 17.9629 Å, b = 17.9629 Å, c = 5.5650 Å
α = 98.87°, β = 98.87°, γ = 11.14°
Element x y z (fractional)
Y (0.0901, 0.0901, 0.0899)
Y (0.2329, 0.2329, 0.7328)
Y (0.7671, 0.7671, 0.2672)
Y (0.9099, 0.9099, 0.9101)
Ho (0.3637, 0.3637, 0.3637)
Ho (0.5000, 0.5000, 0.0000)
Ho (0.6363, 0.6363, 0.6363)
Tm (0.0454, 0.0454, 0.5452)
Tm (0.1804, 0.1804, 0.1803)
Tm (0.8196, 0.8196, 0.8197)
Tm (0.9546, 0.9546, 0.4548)

---

(3)
Simulated powder diffractogram
Compound: Y3Ho5Tm
Radiation: λ = 1.5418 Å (Cu Kα)
Structure: a crystal structure in Alexandria, relaxed with PBE
Peak positions follow from Bragg's law for the DFT cell and can differ from measured ones.

Principal peaks in the range 10° ≤ 2θ ≤ 90°, by intensity:
2θ (°), I (rel.)
31.66, 100
32.04, 92
45.66, 34
56.86, 32
62.90, 26
57.10, 14
75.99, 12
31.01, 11
81.32, 10
22.37, 10
52.56, 8
66.99, 8

a = 9.6777 Å, b = 9.6777 Å, c = 6.9642 Å
α = 90.00°, β = 90.00°, γ = 120.00°
Element x y z (fractional)
Y (0.0000, 0.3594, 0.2500)
Y (0.0000, 0.6406, 0.7500)
Y (0.3594, 0.0000, 0.2500)
Y (0.3594, 0.3594, 0.7500)
Y (0.6406, 0.0000, 0.7500)
Y (0.6406, 0.6406, 0.2500)
Ho (0.0000, 0.3046, 0.7500)
Ho (0.0000, 0.6954, 0.2500)
Ho (0.3046, 0.0000, 0.7500)
Ho (0.3046, 0.3046, 0.2500)
Ho (0.3333, 0.6667, 0.0000)
Ho (0.3333, 0.6667, 0.5000)
Ho (0.6667, 0.3333, 0.0000)
Ho (0.6667, 0.3333, 0.5000)
Ho (0.6954, 0.0000, 0.2500)
Ho (0.6954, 0.6954, 0.7500)
Tm (0.0000, 0.0000, 0.0000)
Tm (0.0000, 0.0000, 0.5000)

---

(4)
Simulated powder diffractogram
Compound: Y6Ho3Tm2
Radiation: λ = 1.5418 Å (Cu Kα)
Structure: a crystal structure in Alexandria, relaxed with PBE
Peak positions follow from Bragg's law for the DFT cell and can differ from measured ones.

Principal peaks in the range 10° ≤ 2θ ≤ 90°, by intensity:
2θ (°), I (rel.)
30.91, 100
35.84, 50
51.60, 35
61.34, 31
61.44, 10
64.38, 9
84.15, 9
86.89, 8
87.03, 8
75.97, 6
13.94, 5
84.27, 4

a = 31.8319 Å, b = 31.8319 Å, c = 31.8319 Å
α = 6.39°, β = 6.39°, γ = 6.39°
Element x y z (fractional)
Y (0.0910, 0.0910, 0.0910)
Y (0.1821, 0.1821, 0.1821)
Y (0.3637, 0.3637, 0.3637)
Y (0.6363, 0.6363, 0.6363)
Y (0.8179, 0.8179, 0.8179)
Y (0.9090, 0.9090, 0.9090)
Ho (0.0000, 0.0000, 0.0000)
Ho (0.2727, 0.2727, 0.2727)
Ho (0.7273, 0.7273, 0.7273)
Tm (0.4545, 0.4545, 0.4545)
Tm (0.5455, 0.5455, 0.5455)

---

(5)
Simulated powder diffractogram
Compound: YHoTm
Radiation: λ = 1.5418 Å (Cu Kα)
Structure: a crystal structure in Alexandria, relaxed with PBE
Peak positions follow from Bragg's law for the DFT cell and can differ from measured ones.

Principal peaks in the range 10° ≤ 2θ ≤ 90°, by intensity:
2θ (°), I (rel.)
31.05, 100
51.83, 36
35.97, 34
61.62, 28
36.06, 17
61.73, 14
64.72, 12
84.65, 12
87.34, 8
84.73, 6
87.48, 5
76.28, 4

a = 7.8981 Å, b = 7.8981 Å, c = 4.9818 Å
α = 90.00°, β = 90.00°, γ = 143.17°
Element x y z (fractional)
Y (0.0841, 0.9159, 0.7500)
Y (0.9159, 0.0841, 0.2500)
Ho (0.4156, 0.5844, 0.7500)
Ho (0.5844, 0.4156, 0.2500)
Tm (0.2498, 0.7502, 0.2500)
Tm (0.7502, 0.2498, 0.7500)

---

(6)
Simulated powder diffractogram
Compound: Y4HoTm7
Radiation: λ = 1.5418 Å (Cu Kα)
Structure: a crystal structure in Alexandria, relaxed with PBE
Peak positions follow from Bragg's law for the DFT cell and can differ from measured ones.

Principal peaks in the range 10° ≤ 2θ ≤ 90°, by intensity:
2θ (°), I (rel.)
33.05, 100
30.81, 98
30.97, 89
34.00, 72
44.25, 67
33.85, 67
20.80, 43
56.22, 22
15.96, 20
56.75, 16
56.85, 16
72.96, 15

a = 6.6495 Å, b = 6.6495 Å, c = 12.5841 Å
α = 115.06°, β = 115.06°, γ = 51.76°
Element x y z (fractional)
Y (0.0611, 0.0611, 0.3217)
Y (0.3606, 0.3606, 0.2244)
Y (0.6394, 0.6394, 0.7756)
Y (0.9389, 0.9389, 0.6783)
Ho (0.5000, 0.5000, 0.0000)
Tm (0.0000, 0.0000, 0.0000)
Tm (0.2130, 0.2130, 0.9247)
Tm (0.2459, 0.2459, 0.6817)
Tm (0.3651, 0.3651, 0.4985)
Tm (0.6349, 0.6349, 0.5015)
Tm (0.7541, 0.7541, 0.3183)
Tm (0.7870, 0.7870, 0.0753)

---

(7)
Simulated powder diffractogram
Compound: YHo3Tm8
Radiation: λ = 1.5418 Å (Cu Kα)
Structure: a crystal structure in Alexandria, relaxed with PBE
Peak positions follow from Bragg's law for the DFT cell and can differ from measured ones.

Principal peaks in the range 10° ≤ 2θ ≤ 90°, by intensity:
2θ (°), I (rel.)
33.08, 100
28.78, 24
32.26, 24
61.63, 22
58.05, 20
50.99, 20
62.14, 16
43.77, 16
84.44, 14
89.32, 8
80.87, 8
69.42, 4

a = 8.3251 Å, b = 8.3251 Å, c = 8.3251 Å
α = 99.57°, β = 96.39°, γ = 136.26°
Element x y z (fractional)
Y (0.0000, 0.0000, 0.0000)
Ho (0.0840, 0.3344, 0.7496)
Ho (0.4997, 0.9997, 0.5000)
Ho (0.5847, 0.3344, 0.2504)
Tm (0.9999, 0.3335, 0.3336)
Tm (0.9999, 0.6663, 0.6664)
Tm (0.0829, 0.9996, 0.4180)
Tm (0.0829, 0.6648, 0.0833)
Tm (0.5005, 0.3333, 0.8328)
Tm (0.5005, 0.6678, 0.1672)
Tm (0.5816, 0.9996, 0.9167)
Tm (0.5816, 0.6648, 0.5820)

---

(8)
Simulated powder diffractogram
Compound: Y6Ho4Tm
Radiation: λ = 1.5418 Å (Cu Kα)
Structure: a crystal structure in Alexandria, relaxed with PBE
Peak positions follow from Bragg's law for the DFT cell and can differ from measured ones.

Principal peaks in the range 10° ≤ 2θ ≤ 90°, by intensity:
2θ (°), I (rel.)
31.99, 100
30.50, 62
31.58, 55
30.65, 40
33.44, 34
44.58, 29
56.50, 20
56.27, 17
60.42, 14
22.89, 12
55.57, 11
33.57, 11

a = 5.5952 Å, b = 5.5952 Å, c = 25.6359 Å
α = 90.00°, β = 90.00°, γ = 119.16°
Element x y z (fractional)
Y (0.0000, 0.0000, 0.0000)
Y (0.0000, 0.0000, 0.5000)
Y (0.0126, 0.9874, 0.7500)
Y (0.3182, 0.6818, 0.1044)
Y (0.3182, 0.6818, 0.3956)
Y (0.3479, 0.6521, 0.6817)
Y (0.3479, 0.6521, 0.8183)
Y (0.6521, 0.3479, 0.1817)
Y (0.6521, 0.3479, 0.3183)
Y (0.6818, 0.3182, 0.6044)
Y (0.6818, 0.3182, 0.8956)
Y (0.9874, 0.0126, 0.2500)
Ho (0.0187, 0.9813, 0.6212)
Ho (0.0187, 0.9813, 0.8788)
Ho (0.3391, 0.6609, 0.5424)
Ho (0.3391, 0.6609, 0.9576)
Ho (0.6609, 0.3391, 0.0424)
Ho (0.6609, 0.3391, 0.4576)
Ho (0.9813, 0.0187, 0.1212)
Ho (0.9813, 0.0187, 0.3788)
Tm (0.3216, 0.6784, 0.2500)
Tm (0.6784, 0.3216, 0.7500)

---

(9)
Simulated powder diffractogram
Compound: YHo9Tm2
Radiation: λ = 1.5418 Å (Cu Kα)
Structure: a crystal structure in Alexandria, relaxed with PBE
Peak positions follow from Bragg's law for the DFT cell and can differ from measured ones.

Principal peaks in the range 10° ≤ 2θ ≤ 90°, by intensity:
2θ (°), I (rel.)
31.09, 100
36.05, 51
61.75, 43
51.91, 36
84.82, 18
87.57, 17
64.82, 12
76.47, 6
18.77, 1

a = 4.9824 Å, b = 4.9824 Å, c = 14.9474 Å
α = 90.00°, β = 90.00°, γ = 90.00°
Element x y z (fractional)
Y (0.0000, 0.0000, 0.0000)
Ho (0.0000, 0.5000, 0.1681)
Ho (0.0000, 0.5000, 0.5000)
Ho (0.0000, 0.5000, 0.8319)
Ho (0.5000, 0.0000, 0.1681)
Ho (0.5000, 0.0000, 0.5000)
Ho (0.5000, 0.0000, 0.8319)
Ho (0.5000, 0.5000, 0.0000)
Ho (0.5000, 0.5000, 0.3341)
Ho (0.5000, 0.5000, 0.6659)
Tm (0.0000, 0.0000, 0.3339)
Tm (0.0000, 0.0000, 0.6661)

---

(10)
Simulated powder diffractogram
Compound: Y6Ho3Tm
Radiation: λ = 1.5418 Å (Cu Kα)
Structure: a crystal structure in Alexandria, relaxed with PBE
Peak positions follow from Bragg's law for the DFT cell and can differ from measured ones.

Principal peaks in the range 10° ≤ 2θ ≤ 90°, by intensity:
2θ (°), I (rel.)
31.79, 100
28.72, 41
28.77, 32
34.13, 30
34.47, 27
30.21, 20
17.04, 19
33.09, 18
40.71, 16
28.27, 15
35.90, 14
60.48, 12

a = 10.9271 Å, b = 10.9271 Å, c = 6.2286 Å
α = 90.00°, β = 90.00°, γ = 119.87°
Element x y z (fractional)
Y (0.0468, 0.4647, 0.9453)
Y (0.0478, 0.9522, 0.5000)
Y (0.2798, 0.7202, 0.2413)
Y (0.2902, 0.3811, 0.1268)
Y (0.3811, 0.2902, 0.6268)
Y (0.4647, 0.0468, 0.4453)
Y (0.5353, 0.9532, 0.9453)
Y (0.6189, 0.7098, 0.1268)
Y (0.7098, 0.6189, 0.6268)
Y (0.7202, 0.2798, 0.7413)
Y (0.9522, 0.0478, 0.0000)
Y (0.9532, 0.5353, 0.4453)
Ho (0.0604, 0.2797, 0.5426)
Ho (0.2797, 0.0604, 0.0426)
Ho (0.3896, 0.6105, 0.6600)
Ho (0.6105, 0.3896, 0.1600)
Ho (0.7203, 0.9396, 0.5426)
Ho (0.9396, 0.7203, 0.0426)
Tm (0.2062, 0.7938, 0.7368)
Tm (0.7938, 0.2062, 0.2368)

---

(11)
Simulated powder diffractogram
Compound: Y5HoTm4
Radiation: λ = 1.5418 Å (Cu Kα)
Structure: a crystal structure in Alexandria, relaxed with PBE
Peak positions follow from Bragg's law for the DFT cell and can differ from measured ones.

Principal peaks in the range 10° ≤ 2θ ≤ 90°, by intensity:
2θ (°), I (rel.)
31.64, 100
30.89, 88
33.14, 46
33.48, 43
62.36, 33
47.83, 31
59.16, 18
58.26, 17
34.55, 17
41.61, 16
57.80, 15
63.27, 14

a = 5.4064 Å, b = 7.0057 Å, c = 8.7204 Å
α = 89.97°, β = 72.04°, γ = 89.97°
Element x y z (fractional)
Y (0.0000, 0.0000, 0.0000)
Y (0.1893, 0.2507, 0.6202)
Y (0.3886, 0.7472, 0.2216)
Y (0.5901, 0.7475, 0.8195)
Y (0.7789, 0.9988, 0.4406)
Ho (0.3902, 0.2505, 0.2190)
Tm (0.9999, 0.4979, 0.0004)
Tm (0.1896, 0.7472, 0.6193)
Tm (0.5887, 0.2510, 0.8224)
Tm (0.7789, 0.4996, 0.4403)

---

(12)
Simulated powder diffractogram
Compound: YHo12Tm2
Radiation: λ = 1.5418 Å (Cu Kα)
Structure: a crystal structure in Alexandria, relaxed with PBE
Peak positions follow from Bragg's law for the DFT cell and can differ from measured ones.

Principal peaks in the range 10° ≤ 2θ ≤ 90°, by intensity:
2θ (°), I (rel.)
31.25, 100
32.19, 82
30.81, 64
32.55, 50
34.36, 44
34.16, 41
46.42, 31
61.84, 29
51.27, 22
44.17, 19
56.80, 18
36.43, 18

a = 3.5636 Å, b = 5.5622 Å, c = 23.8796 Å
α = 90.00°, β = 94.21°, γ = 90.00°
Element x y z (fractional)
Y (0.0000, 0.0000, 0.0000)
Ho (0.0959, 0.5000, 0.1929)
Ho (0.1656, 0.5000, 0.3290)
Ho (0.2092, 0.0000, 0.4209)
Ho (0.2784, 0.5000, 0.5557)
Ho (0.4316, 0.0000, 0.8630)
Ho (0.4665, 0.5000, 0.9334)
Ho (0.5335, 0.5000, 0.0666)
Ho (0.5684, 0.0000, 0.1370)
Ho (0.7216, 0.5000, 0.4443)
Ho (0.7908, 0.0000, 0.5791)
Ho (0.8344, 0.5000, 0.6710)
Ho (0.9041, 0.5000, 0.8071)
Tm (0.3589, 0.0000, 0.7186)
Tm (0.6411, 0.0000, 0.2814)

---

Question: Which formula does entry 5 have?
Answer: YHoTm